# Mg6GaW
Computed powder diffractogram, Cu Kα X-rays. Input: a PBE-relaxed structure.
Kinematic intensities with the Lorentz-polarization factor, no thermal factor.

Peak list (8 most intense, 2θ = 15–90°, in order of rising 2θ)
- d 5.321, I 100
- d 5.264, I 33
- d 3.579, I 32
- d 2.661, I 29
- d 2.580, I 35
- d 2.419, I 31
- d 2.331, I 79
- d 2.312, I 46

Crystal structure
Unit cell a=4.837 b=6.167 c=10.529 alpha=90.00 beta=90.00 gamma=90.00
Space group Amm2 (No. 38)
Asymmetric unit:
Mg1 0.000 0.000 0.000 (multiplicity 2)
Mg2 0.000 0.236 0.745 (multiplicity 4)
Mg3 0.500 0.000 0.168 (multiplicity 2)
Mg4 0.500 0.247 0.416 (multiplicity 4)
Ga1 0.000 0.000 0.518 (multiplicity 2)
W1 0.500 0.000 0.662 (multiplicity 2)

***

# PuNpB4
Computed powder diffractogram, Cu Kα X-rays. Input: a PBE-relaxed structure.
Kinematic intensities with the Lorentz-polarization factor, no thermal factor.

Peak list (8 most intense, 2θ = 15–90°, in order of rising 2θ)
- d 4.011, I 60
- d 2.685, I 73
- d 2.231, I 100
- d 1.607, I 33
- d 1.550, I 17
- d 1.446, I 22
- d 1.273, I 17
- d 1.226, I 16

Crystal structure
Unit cell a=3.1004 b=3.1004 c=8.0217 alpha=90.00 beta=90.00 gamma=120.00
Space group P6/mmm (No. 191)
Asymmetric unit:
Pu1 0.0000 0.0000 0.0000 (multiplicity 1)
Np1 0.0000 0.0000 0.5000 (multiplicity 1)
B1 0.3333 0.6667 0.2510 (multiplicity 4)

***

# LiHfMg14O15
Computed powder diffractogram, Cu Kα X-rays. Input: a PBE-relaxed structure.
Kinematic intensities with the Lorentz-polarization factor, no thermal factor.

Peak list (8 most intense, 2θ = 15–90°, in order of rising 2θ)
- d 3.859, I 43
- d 3.839, I 52
- d 2.868, I 47
- d 2.486, I 43
- d 2.157, I 100
- d 2.144, I 50
- d 1.526, I 29
- d 1.521, I 58

Crystal structure
Unit cell a=4.287 b=8.634 c=8.625 alpha=90.00 beta=90.00 gamma=90.00
Space group Pmm2 (No. 25)
Asymmetric unit:
Li1 0.000 0.000 0.000 (multiplicity 1)
Hf1 0.000 0.500 0.492 (multiplicity 1)
Mg1 0.000 0.000 0.492 (multiplicity 1)
Mg2 0.000 0.239 0.232 (multiplicity 2)
Mg3 0.000 0.241 0.753 (multiplicity 2)
Mg4 0.000 0.500 0.993 (multiplicity 1)
Mg5 0.500 0.000 0.234 (multiplicity 1)
Mg6 0.500 0.000 0.750 (multiplicity 1)
Mg7 0.500 0.239 0.492 (multiplicity 2)
Mg8 0.500 0.242 0.992 (multiplicity 2)
Mg9 0.500 0.500 0.231 (multiplicity 1)
Mg10 0.500 0.500 0.753 (multiplicity 1)
O1 0.000 0.000 0.250 (multiplicity 1)
O2 0.000 0.250 0.490 (multiplicity 2)
O3 0.000 0.259 0.993 (multiplicity 2)
O4 0.000 0.500 0.243 (multiplicity 1)
O5 0.000 0.500 0.741 (multiplicity 1)
O6 0.500 0.000 0.489 (multiplicity 1)
O7 0.500 0.000 0.992 (multiplicity 1)
O8 0.500 0.251 0.243 (multiplicity 2)
O9 0.500 0.253 0.741 (multiplicity 2)
O10 0.500 0.500 0.491 (multiplicity 1)
O11 0.500 0.500 0.992 (multiplicity 1)

***

# TiC3
Computed powder diffractogram, Cu Kα X-rays. Input: a PBE-relaxed structure.
Kinematic intensities with the Lorentz-polarization factor, no thermal factor.

Peak list (8 most intense, 2θ = 15–90°, in order of rising 2θ)
- d 4.680, I 49
- d 4.082, I 100
- d 2.516, I 50
- d 2.340, I 36
- d 2.142, I 25
- d 2.041, I 22
- d 2.030, I 24
- d 2.003, I 23

Crystal structure
Unit cell a=2.612 b=9.360 c=4.082 alpha=90.00 beta=90.00 gamma=90.00
Space group Cmmm (No. 65)
Asymmetric unit:
Ti1 0.000 0.000 0.000 (multiplicity 2)
C1 0.000 0.000 0.500 (multiplicity 2)
C2 0.250 0.250 0.000 (multiplicity 4)

***

# LuF3
Computed powder diffractogram, Cu Kα X-rays. Input: a PBE-relaxed structure.
Kinematic intensities with the Lorentz-polarization factor, no thermal factor.

Peak list (8 most intense, 2θ = 15–90°, in order of rising 2θ)
- d 3.412, I 35
- d 3.344, I 25
- d 3.003, I 100
- d 1.931, I 34
- d 1.881, I 44
- d 1.680, I 30
- d 1.624, I 18
- d 1.243, I 15

Crystal structure
Unit cell a=6.6879 b=6.6879 c=6.8232 alpha=90.00 beta=90.00 gamma=120.00
Space group P-3c1 (No. 165)
Asymmetric unit:
Lu1 0.0000 0.3466 0.2500 (multiplicity 6)
F1 0.0000 0.0000 0.2500 (multiplicity 2)
F2 0.0732 0.3754 0.9241 (multiplicity 12)
F3 0.3333 0.6667 0.1889 (multiplicity 4)

***

# Tl2C3O4
Computed powder diffractogram, Cu Kα X-rays. Input: a PBE-relaxed structure.
Kinematic intensities with the Lorentz-polarization factor, no thermal factor.

Peak list (8 most intense, 2θ = 15–90°, in order of rising 2θ)
- d 4.174, I 25
- d 3.590, I 72
- d 3.434, I 46
- d 3.298, I 100
- d 3.264, I 33
- d 2.931, I 61
- d 2.652, I 22
- d 2.366, I 33

Crystal structure
Unit cell a=13.206 b=6.869 c=7.519 alpha=90.00 beta=107.07 gamma=90.00
Space group C2 (No. 5)
Asymmetric unit:
Tl1 0.091 0.000 0.295 (multiplicity 4)
Tl2 0.235 0.968 0.842 (multiplicity 4)
C1 0.000 0.373 0.000 (multiplicity 2)
C2 0.000 0.602 0.000 (multiplicity 2)
C3 0.048 0.465 0.531 (multiplicity 4)
C4 0.163 0.449 0.600 (multiplicity 4)
O1 0.088 0.285 0.035 (multiplicity 4)
O2 0.089 0.686 0.066 (multiplicity 4)
O3 0.207 0.336 0.509 (multiplicity 4)
O4 0.212 0.544 0.745 (multiplicity 4)

***

# ZrAsOs
Computed powder diffractogram, Cu Kα X-rays. Input: a PBE-relaxed structure.
Kinematic intensities with the Lorentz-polarization factor, no thermal factor.

Peak list (8 most intense, 2θ = 15–90°, in order of rising 2θ)
- d 4.008, I 23
- d 2.549, I 100
- d 2.329, I 77
- d 2.163, I 70
- d 2.004, I 33
- d 1.903, I 51
- d 1.470, I 41
- d 1.248, I 33

Crystal structure
Unit cell a=6.6073 b=6.6073 c=4.0083 alpha=90.00 beta=90.00 gamma=120.00
Space group P-62m (No. 189)
Asymmetric unit:
Zr1 0.0000 0.4184 0.0000 (multiplicity 3)
As1 0.0000 0.0000 0.0000 (multiplicity 1)
As2 0.3333 0.6667 0.5000 (multiplicity 2)
Os1 0.0000 0.7553 0.5000 (multiplicity 3)